Structure and calculated PXRD pattern of Er4US7 (DFT lattice parameters and positions (PBE); Cu Kα, 1.54184 Å).

Principal peaks in the range 15 to 90 degrees two-theta, most intense first:
2theta  d (Å)  I_rel
24.15  3.685  100
24.56  3.625  94
33.49  2.676  61
28.02  3.184  50
26.61  3.350  47
31.88  2.807  46
34.69  2.586  44
24.76  3.596  35
42.49  2.127  35
44.00  2.058  33

Crystal structure
```
12
Lattice="6.3692 -1.8802 0.0000 6.3692 1.8802 0.0000 -2.9902 0.0000 11.1561" Properties=species:S:1:pos:R:3 pbc="T T T"
Er 0.0000 0.0000 0.0000
Er 3.2194 0.0000 6.9535
Er 6.2670 0.0000 4.3424
Er 6.4994 0.0000 9.0382
U 9.6783 0.0000 2.6303
S -1.7547 0.0000 8.4955
S 1.5854 0.0000 3.5076
S 1.9896 0.0000 9.6263
S 5.1816 0.0000 1.7937
S 8.3122 0.0000 0.2816
S 7.6594 0.0000 6.6548
S 10.8543 0.0000 5.1797
```